# 1
For Ac2Sm7, a DFT-relaxed cell (GGA-PBE, Alexandria) gives the simulated powder X-ray diffraction pattern in this record (CuKα).
Kinematic intensities with the Lorentz-polarization factor, no thermal factor.

Most intense lines, 10° ≤ 2θ ≤ 80°, in order of rising 2θ:
3.037 Å, I = 100, (1 1 1)
3.009 Å, I = 32, (0 0 3)
2.624 Å, I = 67, (2 -1 2)
1.862 Å, I = 24, (3 0 0)
1.849 Å, I = 24, (1 1 4)
1.587 Å, I = 15, (4 -2 1)
1.583 Å, I = 29, (3 0 3)
1.575 Å, I = 14, (2 -1 5)
1.519 Å, I = 13, (2 2 2)
1.208 Å, I = 12, (4 1 1)

Structural model:
a = 6.4502 Å, b = 6.4502 Å, c = 9.0273 Å
α = 90.00°, β = 90.00°, γ = 120.00°
Positions (direct):
Ac: 0.3333 0.6667 0.0000
Ac: 0.6667 0.3333 0.0000
Sm: 0.0000 0.0000 0.0000
Sm: 0.0000 0.3302 0.6608
Sm: 0.0000 0.6698 0.3392
Sm: 0.3302 0.0000 0.6608
Sm: 0.3302 0.3302 0.3392
Sm: 0.6698 0.0000 0.3392
Sm: 0.6698 0.6698 0.6608

---

# 2
For BaAuI4, a DFT-relaxed cell (GGA-PBE, Alexandria) gives the simulated powder X-ray diffraction pattern in this record (CuKα).
Kinematic intensities with the Lorentz-polarization factor, no thermal factor.

Most intense lines, 10° ≤ 2θ ≤ 80°, in order of rising 2θ:
5.423 Å, I = 100, (0 2 0)
4.565 Å, I = 51, (0 2 1)
3.556 Å, I = 42, (1 2 1)
3.236 Å, I = 51, (1 1 2)
2.870 Å, I = 76, (1 3 1)
2.835 Å, I = 83, (2 0 0)
2.748 Å, I = 50, (0 3 2)
2.729 Å, I = 45, (0 1 3)
1.973 Å, I = 42, (2 3 2)
1.966 Å, I = 35, (2 1 3)

Structural model:
a = 5.6704 Å, b = 10.8459 Å, c = 8.4591 Å
α = 90.00°, β = 90.00°, γ = 90.00°
Positions (direct):
Ba: 0.2500 0.2500 0.0004
Ba: 0.7500 0.7500 0.9996
Au: 0.2500 0.7500 0.4101
Au: 0.7500 0.2500 0.5899
I: 0.2500 0.2500 0.5810
I: 0.2500 0.5674 0.1551
I: 0.2500 0.7500 0.7286
I: 0.2500 0.9326 0.1551
I: 0.7500 0.0674 0.8449
I: 0.7500 0.2500 0.2714
I: 0.7500 0.4326 0.8449
I: 0.7500 0.7500 0.4190

---

# 3
For Zn2Hg2Te, a DFT-relaxed cell (GGA-PBE, Alexandria) gives the simulated powder X-ray diffraction pattern in this record (CuKα).
Kinematic intensities with the Lorentz-polarization factor, no thermal factor.

Most intense lines, 10° ≤ 2θ ≤ 80°, in order of rising 2θ:
3.960 Å, I = 44, (2 1 0)
3.131 Å, I = 59, (2 2 0)
2.933 Å, I = 29, (0 0 1)
2.800 Å, I = 64, (3 1 0)
2.456 Å, I = 30, (3 2 0)
2.357 Å, I = 100, (2 1 1)
2.148 Å, I = 57, (4 1 0)
2.140 Å, I = 38, (2 2 1)
1.733 Å, I = 39, (4 1 1)
1.349 Å, I = 42, (5 3 1)

Structural model:
a = 8.8555 Å, b = 8.8555 Å, c = 2.9328 Å
α = 90.00°, β = 90.00°, γ = 90.00°
Positions (direct):
Zn: 0.1070 0.3930 0.0000
Zn: 0.3930 0.8930 0.0000
Zn: 0.6070 0.1070 0.0000
Zn: 0.8930 0.6070 0.0000
Hg: 0.1918 0.6918 0.5000
Hg: 0.3082 0.1918 0.5000
Hg: 0.6918 0.8082 0.5000
Hg: 0.8082 0.3082 0.5000
Te: 0.0000 0.0000 0.5000
Te: 0.5000 0.5000 0.5000